Starting from a GGA-PBE-relaxed structure, the powder diffractogram of GeAs2H4 was simulated for Cu Kα (weighted mean of Kα1 and Kα2).
Lines closer than 0.1° are merged.

Peak list (10 most intense, 2θ = 10–90°, by angle)
2θ 11.58, I = 54, (0 0 2); 2θ 23.28, I = 100, (0 0 4); 2θ 24.91, I = 61, (1 0 1); 2θ 34.49, I = 80, (1 1 0); 2θ 38.29, I = 47, (1 0 5); 2θ 42.03, I = 79, (1 1 4); 2θ 49.58, I = 29, (2 0 0); 2θ 55.46, I = 36, (2 0 4); 2θ 60.04, I = 43, (1 0 9); 2θ 64.32, I = 20, (2 1 5)

Cell: 3.677 3.677 15.287 Å, 90.00 90.00 90.00°
Space group I4/mmm (No. 139)
Asymmetric unit:
Ge1 0.000 0.000 0.000 (multiplicity 2)
As1 0.000 0.000 0.235 (multiplicity 4)
H1 0.000 0.000 0.117 (multiplicity 4)
H2 0.000 0.500 0.000 (multiplicity 4)